(1)
Diffraction record for Ba2BiAu7. The powder diffraction line list is simulated, not measured: it uses a PBE-relaxed structure and a wavelength of 1.5418 Å.
No peak broadening, texture or thermal motion is included.

Cell and atoms:
Lattice parameters (Å, degrees): 4.5526 4.5526 12.5807 90.00 90.00 90.00
Sites, in units of the cell vectors:
1 Ba 0.0000 0.5000 0.2339
2 Ba 0.5000 0.0000 0.7661
3 Bi 0.0000 0.0000 0.5000
4 Au 0.0000 0.0000 0.0000
5 Au 0.0000 0.5000 0.6503
6 Au 0.0000 0.5000 0.8651
7 Au 0.5000 0.0000 0.1349
8 Au 0.5000 0.0000 0.3497
9 Au 0.5000 0.5000 0.0000
10 Au 0.5000 0.5000 0.5000

Largest 8 diffraction maxima, low angle first, 10 to 90 degrees two-theta:
two_theta  d/Å  I_rel
20.75  4.281  22
28.95  3.084  28
31.21  2.866  100
39.59  2.276  60
40.08  2.250  54
40.98  2.202  30
58.30  1.583  22
66.64  1.403  23

(2)
Diffraction record for Ba4Bi2Au. The powder diffraction line list is simulated, not measured: it uses a PBE-relaxed structure and a wavelength of 1.5418 Å.
No peak broadening, texture or thermal motion is included.

Cell and atoms:
Lattice parameters (Å, degrees): 10.3690 10.3690 10.3690 33.46 33.46 33.46
Sites, in units of the cell vectors:
1 Ba 0.1204 0.1204 0.1204
2 Ba 0.3700 0.3700 0.3700
3 Ba 0.6300 0.6300 0.6300
4 Ba 0.8796 0.8796 0.8796
5 Bi 0.2455 0.2455 0.2455
6 Bi 0.7545 0.7545 0.7545
7 Au 0.0000 0.0000 0.0000

Largest 8 diffraction maxima, low angle first, 10 to 90 degrees two-theta:
two_theta  d/Å  I_rel
18.18  4.879  8
29.90  2.988  100
42.80  2.113  19
52.99  1.728  9
53.12  1.724  30
70.42  1.337  8
70.52  1.335  9
86.13  1.129  10

(3)
Diffraction record for BaBiHAu. The powder diffraction line list is simulated, not measured: it uses a PBE-relaxed structure and a wavelength of 1.5418 Å.
No peak broadening, texture or thermal motion is included.

Cell and atoms:
Lattice parameters (Å, degrees): 4.9269 4.9269 4.8515 90.00 90.00 120.00
Sites, in units of the cell vectors:
1 Ba 0.0000 0.0000 0.0000
2 Bi 0.3333 0.6667 0.4671
3 H 0.6667 0.3333 0.9266
4 Au 0.6667 0.3333 0.5703

Largest 8 diffraction maxima, low angle first, 10 to 90 degrees two-theta:
two_theta  d/Å  I_rel
18.29  4.852  24
27.85  3.204  100
36.47  2.463  62
37.06  2.426  14
41.09  2.197  20
46.50  1.953  25
52.98  1.728  30
60.50  1.530  23